Structure and computed powder X-ray diffraction pattern of ReTcIrOs (DFT lattice parameters and positions (PBE); Cu Kα X-rays).

Principal peaks in the range 2θ from 10° to 90°, by angle:
2theta, intensity
23.2, 2
25.7, 5
40.3, 100
46.7, 33
47.3, 16
68.1, 11
68.6, 21
82.2, 26
83.2, 13
87.1, 11

Cell and atoms:
Cell: 3.893 3.893 7.684 Å, 90.00 90.00 90.00°
Positions (direct):
Re  0.000  0.000  0.000
Re  0.500  0.500  0.500
Tc  0.000  0.500  0.250
Tc  0.500  0.000  0.750
Ir  0.000  0.000  0.500
Ir  0.500  0.500  0.000
Os  0.000  0.500  0.750
Os  0.500  0.000  0.250


Structure and computed powder X-ray diffraction pattern of Sr6GaBr12 (DFT lattice parameters and positions (PBE); Cu Kα X-rays).

Principal peaks in the range 2θ from 10° to 90°, by angle:
2theta, intensity
19.7, 43
24.1, 61
25.9, 24
30.9, 16
31.4, 100
37.2, 65
37.3, 15
39.9, 49
49.5, 30
61.5, 14

Cell and atoms:
Cell: 9.460 9.460 9.460 Å, 105.73 105.73 105.73°
Positions (direct):
Sr  0.089  0.767  0.676
Sr  0.233  0.324  0.911
Sr  0.324  0.911  0.233
Sr  0.676  0.089  0.767
Sr  0.767  0.676  0.089
Sr  0.911  0.233  0.324
Ga  0.500  0.500  0.500
Br  0.019  0.673  0.942
Br  0.058  0.981  0.327
Br  0.172  0.459  0.644
Br  0.327  0.058  0.981
Br  0.356  0.828  0.541
Br  0.459  0.644  0.172
Br  0.541  0.356  0.828
Br  0.644  0.172  0.459
Br  0.673  0.942  0.019
Br  0.828  0.541  0.356
Br  0.942  0.019  0.673
Br  0.981  0.327  0.058


Structure and computed powder X-ray diffraction pattern of Tc2Ni (DFT lattice parameters and positions (PBE); Cu Kα X-rays).

Principal peaks in the range 2θ from 10° to 90°, by angle:
2theta, intensity
38.5, 16
41.8, 100
43.9, 89
44.4, 24
51.6, 11
62.2, 23
75.6, 16
79.2, 17
80.7, 9
85.7, 24

Cell and atoms:
Cell: 7.148 7.148 2.715 Å, 90.00 90.00 120.00°
Positions (direct):
Tc  0.000  0.300  0.000
Tc  0.000  0.635  0.500
Tc  0.300  0.000  0.000
Tc  0.365  0.365  0.500
Tc  0.635  0.000  0.500
Tc  0.700  0.700  0.000
Ni  0.000  0.000  0.500
Ni  0.333  0.667  0.000
Ni  0.667  0.333  0.000


Structure and computed powder X-ray diffraction pattern of Cs2RbOsBr6 (DFT lattice parameters and positions (PBE); Cu Kα X-rays).

Principal peaks in the range 2θ from 10° to 90°, by angle:
2theta, intensity
13.3, 39
21.7, 78
26.7, 41
30.9, 100
38.1, 28
44.3, 66
49.9, 25
55.0, 21
59.9, 24
73.2, 23

Cell and atoms:
Cell: 8.176 8.176 8.176 Å, 60.00 60.00 60.00°
Positions (direct):
Cs  0.250  0.250  0.250
Cs  0.750  0.750  0.750
Rb  0.000  0.000  0.000
Os  0.500  0.500  0.500
Br  0.281  0.281  0.719
Br  0.281  0.719  0.281
Br  0.281  0.719  0.719
Br  0.719  0.281  0.281
Br  0.719  0.281  0.719
Br  0.719  0.719  0.281


Structure and computed powder X-ray diffraction pattern of SnRuS (DFT lattice parameters and positions (PBE); Cu Kα X-rays).

Principal peaks in the range 2θ from 10° to 90°, by angle:
2theta, intensity
22.5, 95
28.8, 55
32.5, 66
33.4, 47
33.6, 67
33.8, 100
38.0, 51
45.6, 52
45.9, 55
50.8, 51

Cell and atoms:
Cell: 6.259 6.199 6.303 Å, 90.00 108.99 90.00°
Positions (direct):
Sn  0.139  0.132  0.376
Sn  0.139  0.368  0.876
Sn  0.861  0.632  0.124
Sn  0.861  0.868  0.624
Ru  0.309  0.522  0.312
Ru  0.309  0.978  0.812
Ru  0.691  0.022  0.188
Ru  0.691  0.478  0.688
S  0.354  0.640  0.670
S  0.354  0.860  0.170
S  0.646  0.140  0.830
S  0.646  0.360  0.330


Structure and computed powder X-ray diffraction pattern of TiZn15 (DFT lattice parameters and positions (PBE); Cu Kα X-rays).

Principal peaks in the range 2θ from 10° to 90°, by angle:
2theta, intensity
36.7, 25
41.4, 24
42.3, 100
56.5, 14
66.1, 16
76.1, 16
78.1, 2
81.1, 18
81.7, 13
89.9, 2

Cell and atoms:
Cell: 5.653 5.653 8.729 Å, 90.00 90.00 120.00°
Positions (direct):
Ti  0.000  0.000  0.000
Zn  0.000  0.000  0.500
Zn  0.003  0.501  0.500
Zn  0.330  0.165  0.251
Zn  0.330  0.165  0.749
Zn  0.333  0.667  0.244
Zn  0.333  0.667  0.756
Zn  0.499  0.501  0.500
Zn  0.499  0.997  0.500
Zn  0.504  0.008  0.000
Zn  0.504  0.496  0.000
Zn  0.835  0.165  0.251
Zn  0.835  0.165  0.749
Zn  0.835  0.670  0.251
Zn  0.835  0.670  0.749
Zn  0.992  0.496  0.000


Structure and computed powder X-ray diffraction pattern of AcTm2Ag2Sn2 (DFT lattice parameters and positions (PBE); Cu Kα X-rays).

Principal peaks in the range 2θ from 10° to 90°, by angle:
2theta, intensity
21.2, 18
31.3, 92
33.9, 31
36.6, 100
47.9, 14
48.9, 27
50.8, 15
62.6, 25
64.2, 24
65.9, 18

Cell and atoms:
Cell: 9.433 9.433 9.433 Å, 30.17 30.17 30.17°
Positions (direct):
Ac  0.000  0.000  0.000
Tm  0.136  0.136  0.136
Tm  0.864  0.864  0.864
Ag  0.443  0.443  0.443
Ag  0.557  0.557  0.557
Sn  0.257  0.257  0.257
Sn  0.743  0.743  0.743


Structure and computed powder X-ray diffraction pattern of YZn2SiRu2 (DFT lattice parameters and positions (PBE); Cu Kα X-rays).

Principal peaks in the range 2θ from 10° to 90°, by angle:
2theta, intensity
16.0, 31
32.8, 100
38.2, 54
40.6, 74
43.5, 29
57.0, 32
57.8, 11
58.8, 24
69.0, 22
81.8, 17

Cell and atoms:
Cell: 4.441 4.441 5.556 Å, 90.00 90.00 90.00°
Positions (direct):
Y  0.000  0.000  0.000
Zn  0.500  0.500  0.232
Zn  0.500  0.500  0.768
Si  0.000  0.000  0.500
Ru  0.000  0.500  0.500
Ru  0.500  0.000  0.500


Structure and computed powder X-ray diffraction pattern of Ce5PuSnSb2 (DFT lattice parameters and positions (PBE); Cu Kα X-rays).

Principal peaks in the range 2θ from 10° to 90°, by angle:
2theta, intensity
15.3, 17
19.2, 16
30.0, 100
31.0, 30
31.9, 66
34.7, 25
36.7, 19
49.3, 16
50.0, 43
69.0, 14

Cell and atoms:
Cell: 9.650 9.650 9.650 Å, 129.92 129.92 73.54°
Positions (direct):
Ce  0.000  0.000  0.000
Ce  0.023  0.523  0.834
Ce  0.190  0.023  0.500
Ce  0.310  0.810  0.834
Ce  0.477  0.310  0.500
Ce  0.500  0.500  0.000
Ce  0.523  0.690  0.500
Ce  0.690  0.190  0.166
Ce  0.810  0.977  0.500
Ce  0.977  0.477  0.166
Pu  0.250  0.750  0.500
Pu  0.750  0.250  0.500
Sn  0.250  0.250  0.000
Sn  0.750  0.750  0.000
Sb  0.139  0.361  0.500
Sb  0.361  0.861  0.222
Sb  0.639  0.139  0.778
Sb  0.861  0.639  0.500


Structure and computed powder X-ray diffraction pattern of TlHg2AsS4 (DFT lattice parameters and positions (PBE); Cu Kα X-rays).

Principal peaks in the range 2θ from 10° to 90°, by angle:
2theta, intensity
16.7, 33
22.4, 43
26.5, 26
27.1, 100
28.1, 26
33.3, 29
35.0, 47
42.4, 32
47.1, 24
54.6, 24

Cell and atoms:
Cell: 6.734 7.922 8.581 Å, 90.00 90.00 90.00°
Positions (direct):
Tl  0.000  0.000  0.000
Tl  0.500  0.500  0.500
Hg  0.000  0.500  0.187
Hg  0.000  0.500  0.813
Hg  0.500  0.000  0.313
Hg  0.500  0.000  0.687
As  0.000  0.000  0.500
As  0.500  0.500  0.000
S  0.217  0.180  0.331
S  0.217  0.820  0.669
S  0.283  0.320  0.831
S  0.283  0.680  0.169
S  0.717  0.320  0.169
S  0.717  0.680  0.831
S  0.783  0.180  0.669
S  0.783  0.820  0.331


Structure and computed powder X-ray diffraction pattern of Ce3Co2Ge (DFT lattice parameters and positions (PBE); Cu Kα X-rays).

Principal peaks in the range 2θ from 10° to 90°, by angle:
2theta, intensity
28.0, 43
29.2, 100
32.1, 47
32.5, 67
33.2, 35
33.3, 47
33.6, 28
33.7, 31
36.1, 43
39.1, 38

Cell and atoms:
Cell: 5.926 11.015 8.399 Å, 90.00 111.71 90.00°
Positions (direct):
Ce  0.170  0.232  0.331
Ce  0.170  0.268  0.831
Ce  0.243  0.577  0.979
Ce  0.243  0.923  0.479
Ce  0.305  0.547  0.595
Ce  0.305  0.953  0.095
Ce  0.695  0.047  0.905
Ce  0.695  0.453  0.405
Ce  0.757  0.077  0.521
Ce  0.757  0.423  0.021
Ce  0.830  0.732  0.169
Ce  0.830  0.768  0.669
Co  0.142  0.516  0.312
Co  0.142  0.984  0.812
Co  0.276  0.134  0.629
Co  0.276  0.366  0.129
Co  0.724  0.634  0.871
Co  0.724  0.866  0.371
Co  0.858  0.016  0.188
Co  0.858  0.484  0.688
Ge  0.401  0.707  0.317
Ge  0.401  0.793  0.817
Ge  0.599  0.207  0.183
Ge  0.599  0.293  0.683


Structure and computed powder X-ray diffraction pattern of DySb3 (DFT lattice parameters and positions (PBE); Cu Kα X-rays).

Principal peaks in the range 2θ from 10° to 90°, by angle:
2theta, intensity
32.8, 100
33.0, 25
40.4, 28
53.1, 25
58.4, 9
58.8, 18
68.7, 23
68.8, 11
83.4, 7
87.7, 12

Cell and atoms:
Cell: 4.467 4.467 10.850 Å, 90.00 90.00 90.00°
Positions (direct):
Dy  0.000  0.000  0.000
Dy  0.500  0.500  0.500
Sb  0.000  0.000  0.500
Sb  0.000  0.500  0.250
Sb  0.000  0.500  0.750
Sb  0.500  0.000  0.250
Sb  0.500  0.000  0.750
Sb  0.500  0.500  0.000